(1)
Structure and computed XRD peak list of LiIr2O6 (a crystal structure in OQMD, relaxed with GGA-PBE; Cu Kα X-rays).
Kinematic intensities with the Lorentz-polarization factor, no thermal factor.

Largest 6 diffraction maxima, in order of falling intensity, 2θ from 10° to 90°:
2θ 19.47, d = 4.559 Å, rel. 100, (0 0 1)
2θ 20.34, d = 4.366 Å, rel. 39, (1 1 0)
2θ 34.53, d = 2.598 Å, rel. 34, (1 3 0)
2θ 42.71, d = 2.117 Å, rel. 30, (1 3 1)
2θ 24.19, d = 3.680 Å, rel. 27, (1 1 -1)
2θ 37.02, d = 2.428 Å, rel. 18, (1 3 -1)

Structural model:
Cell lengths 5.214, 9.142, 4.781 Å; angles 90.00, 107.65, 90.00 degrees
Space group C2 (No. 5)
Inequivalent atoms, fractional coordinates:
Li (0.000, 0.000, 0.000) [2 per cell]
Ir (0.000, 0.225, 0.500) [2 per cell]
Ir (0.000, 0.557, 0.500) [2 per cell]
O (0.186, 0.391, 0.731) [4 per cell]
O (0.238, 0.193, 0.263) [4 per cell]
O (0.249, 0.580, 0.272) [4 per cell]

(2)
Structure and computed XRD peak list of Li5IrO5 (a crystal structure in OQMD, relaxed with GGA-PBE; Cu Kα X-rays).
Kinematic intensities with the Lorentz-polarization factor, no thermal factor.

Largest 6 diffraction maxima, in order of falling intensity, 2θ from 10° to 90°:
2θ 16.02, d = 5.533 Å, rel. 100, (0 0 1)
2θ 25.18, d = 3.537 Å, rel. 77, (1 1 0)
2θ 20.84, d = 4.262 Å, rel. 54, (2 0 -1)
2θ 19.17, d = 4.629 Å, rel. 47, (2 0 0)
2θ 28.28, d = 3.155 Å, rel. 35, (1 1 -1)
2θ 31.60, d = 2.831 Å, rel. 26, (1 1 1)

Structural model:
Cell lengths 9.742, 3.827, 5.822 Å; angles 90.00, 108.12, 90.00 degrees
Space group C2/m (No. 12)
Inequivalent atoms, fractional coordinates:
Li (0.000, 0.000, 0.000) [2 per cell]
Li (0.197, 0.500, 0.358) [4 per cell]
Li (0.212, 0.500, 0.848) [4 per cell]
Ir (0.000, 0.000, 0.500) [2 per cell]
O (0.000, 0.500, 0.500) [2 per cell]
O (0.147, 0.000, 0.323) [4 per cell]
O (0.154, 0.000, 0.823) [4 per cell]

(3)
Structure and computed XRD peak list of Li7IrO6 (a crystal structure in OQMD, relaxed with GGA-PBE; Cu Kα X-rays).
Kinematic intensities with the Lorentz-polarization factor, no thermal factor.

Largest 6 diffraction maxima, in order of falling intensity, 2θ from 10° to 90°:
2θ 19.66, d = 4.517 Å, rel. 100, (1 0 1)
2θ 22.45, d = 3.960 Å, rel. 74, (0 1 2)
2θ 37.81, d = 2.380 Å, rel. 45, (1 1 3)
2θ 18.67, d = 4.752 Å, rel. 33, (0 0 3)
2θ 31.35, d = 2.853 Å, rel. 27, (1 0 4)
2θ 50.79, d = 1.798 Å, rel. 26, (1 1 6)

Structural model:
Cell lengths 5.4985, 5.4985, 14.2559 Å; angles 90.00, 90.00, 120.00 degrees
Space group R3 (No. 146, hexagonal axes)
Inequivalent atoms, fractional coordinates:
Li (0.0000, 0.0000, 0.0000) [3 per cell]
Li (0.0525, 0.7089, 0.8778) [9 per cell]
Li (0.0608, 0.3818, 0.1002) [9 per cell]
Ir (0.0000, 0.0000, 0.6560) [3 per cell]
O (0.0061, 0.2960, 0.5744) [9 per cell]
O (0.0162, 0.6328, 0.4036) [9 per cell]

(4)
Structure and computed XRD peak list of Li6Ir4O11 (a crystal structure in OQMD, relaxed with GGA-PBE; Cu Kα X-rays).
Kinematic intensities with the Lorentz-polarization factor, no thermal factor.

Largest 6 diffraction maxima, in order of falling intensity, 2θ from 10° to 90°:
2θ 21.12, d = 4.206 Å, rel. 100, (0 0 2)
2θ 20.61, d = 4.309 Å, rel. 83, (1 0 -1)
2θ 18.42, d = 4.818 Å, rel. 82, (0 1 0)
2θ 18.94, d = 4.684 Å, rel. 54, (0 1 1)
2θ 38.16, d = 2.358 Å, rel. 45, (1 -1 2)
2θ 43.65, d = 2.074 Å, rel. 41, (-2 1 1)

Structural model:
Cell lengths 4.990, 5.013, 8.657 Å; angles 76.45, 89.57, 81.47 degrees
Space group P1 (No. 1)
Inequivalent atoms, fractional coordinates:
Li (0.000, 0.000, 0.000) [1 per cell]
Li (0.020, 0.491, 0.632) [1 per cell]
Li (0.220, 0.480, 0.072) [1 per cell]
Li (0.471, 0.612, 0.481) [1 per cell]
Li (0.497, 0.863, 0.169) [1 per cell]
Li (0.766, 0.013, 0.575) [1 per cell]
Ir (0.222, 0.162, 0.412) [1 per cell]
Ir (0.457, 0.229, 0.825) [1 per cell]
Ir (0.704, 0.602, 0.884) [1 per cell]
Ir (0.759, 0.301, 0.255) [1 per cell]
O (0.082, 0.394, 0.870) [1 per cell]
O (0.122, 0.825, 0.537) [1 per cell]
O (0.125, 0.096, 0.204) [1 per cell]
O (0.366, 0.829, 0.924) [1 per cell]
O (0.369, 0.264, 0.599) [1 per cell]
O (0.392, 0.494, 0.278) [1 per cell]
O (0.589, 0.970, 0.383) [1 per cell]
O (0.623, 0.249, 0.043) [1 per cell]
O (0.790, 0.974, 0.798) [1 per cell]
O (0.853, 0.647, 0.110) [1 per cell]
O (0.859, 0.374, 0.461) [1 per cell]

(5)
Structure and computed XRD peak list of Li3Ir2O6 (a crystal structure in OQMD, relaxed with GGA-PBE; Cu Kα X-rays).
Kinematic intensities with the Lorentz-polarization factor, no thermal factor.

Largest 6 diffraction maxima, in order of falling intensity, 2θ from 10° to 90°:
2θ 18.62, d = 4.765 Å, rel. 100, (0 0 1)
2θ 35.54, d = 2.526 Å, rel. 37, (1 3 0)
2θ 20.85, d = 4.260 Å, rel. 37, (1 1 0)
2θ 43.49, d = 2.081 Å, rel. 36, (1 3 1)
2θ 37.14, d = 2.421 Å, rel. 28, (1 3 -1)
2θ 23.36, d = 3.808 Å, rel. 25, (1 1 -1)

Structural model:
Cell lengths 5.182, 8.873, 5.085 Å; angles 90.00, 110.43, 90.00 degrees
Space group C2 (No. 5)
Inequivalent atoms, fractional coordinates:
Li (0.000, 0.000, 0.000) [2 per cell]
Li (0.000, 0.158, 0.500) [2 per cell]
Li (0.000, 0.503, 0.500) [2 per cell]
Ir (0.000, 0.339, 0.000) [2 per cell]
Ir (0.000, 0.678, 0.000) [2 per cell]
O (0.223, 0.510, 0.232) [4 per cell]
O (0.237, 0.332, 0.764) [4 per cell]
O (0.250, 0.178, 0.225) [4 per cell]

(6)
Structure and computed XRD peak list of LiIrO3 (a crystal structure in OQMD, relaxed with GGA-PBE; Cu Kα X-rays).
Kinematic intensities with the Lorentz-polarization factor, no thermal factor.

Largest 6 diffraction maxima, in order of falling intensity, 2θ from 10° to 90°:
2θ 24.36, d = 3.654 Å, rel. 100, (0 1 2)
2θ 34.51, d = 2.599 Å, rel. 41, (1 0 4)
2θ 34.93, d = 2.568 Å, rel. 32, (1 1 0)
2θ 56.02, d = 1.642 Å, rel. 24, (1 1 6)
2θ 56.59, d = 1.626 Å, rel. 19, (1 2 2)
2θ 43.05, d = 2.101 Å, rel. 19, (2 0 2)

Structural model:
Cell lengths 5.1369, 5.1369, 12.8071 Å; angles 90.00, 90.00, 120.00 degrees
Space group R-3c (No. 167, hexagonal axes)
Inequivalent atoms, fractional coordinates:
Li (0.0000, 0.0000, 0.2500) [6 per cell]
Ir (0.0000, 0.0000, 0.0000) [6 per cell]
O (0.0000, 0.3620, 0.2500) [18 per cell]

(7)
Structure and computed XRD peak list of Li6Ir4O11 (a crystal structure in OQMD, relaxed with GGA-PBE; Cu Kα X-rays).
Kinematic intensities with the Lorentz-polarization factor, no thermal factor.

Largest 6 diffraction maxima, in order of falling intensity, 2θ from 10° to 90°:
2θ 18.49, d = 4.799 Å, rel. 100, (0 1 0)
2θ 20.70, d = 4.292 Å, rel. 46, (0 0 2)
2θ 24.11, d = 3.691 Å, rel. 35, (0 1 2)
2θ 43.72, d = 2.070 Å, rel. 31, (1 1 -3)
2θ 36.56, d = 2.458 Å, rel. 30, (2 0 0)
2θ 31.25, d = 2.862 Å, rel. 20, (1 -1 1)

Structural model:
Cell lengths 4.981, 5.015, 8.867 Å; angles 75.28, 86.93, 81.12 degrees
Space group P1 (No. 1)
Inequivalent atoms, fractional coordinates:
Li (0.000, 0.000, 0.000) [1 per cell]
Li (0.008, 0.010, 0.322) [1 per cell]
Li (0.254, 0.494, 0.922) [1 per cell]
Li (0.478, 0.018, 0.505) [1 per cell]
Li (0.505, 0.002, 0.840) [1 per cell]
Li (0.751, 0.483, 0.423) [1 per cell]
Ir (0.220, 0.512, 0.597) [1 per cell]
Ir (0.271, 0.504, 0.247) [1 per cell]
Ir (0.727, 0.499, 0.096) [1 per cell]
Ir (0.783, 0.498, 0.742) [1 per cell]
O (0.100, 0.282, 0.124) [1 per cell]
O (0.131, 0.287, 0.450) [1 per cell]
O (0.135, 0.248, 0.798) [1 per cell]
O (0.359, 0.725, 0.399) [1 per cell]
O (0.370, 0.752, 0.043) [1 per cell]
O (0.421, 0.726, 0.707) [1 per cell]
O (0.626, 0.271, 0.628) [1 per cell]
O (0.628, 0.244, 0.301) [1 per cell]
O (0.633, 0.275, 0.954) [1 per cell]
O (0.866, 0.717, 0.896) [1 per cell]
O (0.900, 0.718, 0.224) [1 per cell]

(8)
Structure and computed XRD peak list of Li4Ir2O5 (a crystal structure in OQMD, relaxed with GGA-PBE; Cu Kα X-rays).
Kinematic intensities with the Lorentz-polarization factor, no thermal factor.

Largest 6 diffraction maxima, in order of falling intensity, 2θ from 10° to 90°:
2θ 21.51, d = 4.131 Å, rel. 100, (0 0 1)
2θ 14.54, d = 6.094 Å, rel. 89, (0 2 0)
2θ 30.40, d = 2.941 Å, rel. 68, (1 3 0)
2θ 37.54, d = 2.396 Å, rel. 64, (1 3 1)
2θ 22.10, d = 4.023 Å, rel. 41, (1 1 0)
2θ 26.06, d = 3.419 Å, rel. 36, (0 2 1)

Structural model:
Cell lengths 4.262, 12.187, 4.131 Å; angles 90.00, 90.00, 90.00 degrees
Space group Cmmm (No. 65)
Inequivalent atoms, fractional coordinates:
Li (0.000, 0.000, 0.000) [2 per cell]
Li (0.000, 0.177, 0.500) [4 per cell]
Li (0.000, 0.500, 0.500) [2 per cell]
Ir (0.000, 0.323, 0.000) [4 per cell]
O (0.000, 0.151, 0.000) [4 per cell]
O (0.000, 0.347, 0.500) [4 per cell]
O (0.000, 0.500, 0.000) [2 per cell]